Entry 1:
Diffraction record for K2MoAs2O9. The PXRD pattern is theoretical, not measured: it uses a PBE+U-relaxed structure and Cu Kα X-rays.

Top 8 peaks for 10 to 90 degrees two-theta, by intensity:
2theta  d [Å]  I (rel.)
12.46  7.102  100
29.42  3.036  81
28.09  3.177  78
17.66  5.023  75
25.07  3.553  71
31.44  2.845  33
18.02  4.923  27
27.81  3.208  24

Crystal structure
abc: 7.6055 14.2045 9.7167
angles: 90.00 116.10 90.00
Element x y z (fractional)
K (0.0420, 0.0893, 0.3604)
K (0.0420, 0.4107, 0.8604)
K (0.3337, 0.5477, 0.6248)
K (0.3337, 0.9523, 0.1248)
K (0.6663, 0.0477, 0.8752)
K (0.6663, 0.4523, 0.3752)
K (0.9580, 0.5893, 0.1396)
K (0.9580, 0.9107, 0.6396)
Mo (0.4236, 0.2167, 0.1692)
Mo (0.4236, 0.2833, 0.6692)
Mo (0.5764, 0.7167, 0.3308)
Mo (0.5764, 0.7833, 0.8308)
As (0.1304, 0.1585, 0.8044)
As (0.1304, 0.3415, 0.3044)
As (0.2869, 0.6655, 0.9676)
As (0.2869, 0.8345, 0.4676)
As (0.7131, 0.1655, 0.5324)
As (0.7131, 0.3345, 0.0324)
As (0.8696, 0.6585, 0.6956)
As (0.8696, 0.8415, 0.1956)
O (0.0679, 0.0545, 0.8507)
O (0.0679, 0.4455, 0.3507)
O (0.0768, 0.7267, 0.8253)
O (0.0768, 0.7733, 0.3253)
O (0.2049, 0.2376, 0.9581)
O (0.2049, 0.2624, 0.4581)
O (0.2197, 0.5636, 0.0142)
O (0.2197, 0.9364, 0.5142)
O (0.2892, 0.1563, 0.7230)
O (0.2892, 0.3437, 0.2230)
O (0.2977, 0.1403, 0.2356)
O (0.2977, 0.3597, 0.7356)
O (0.3584, 0.7462, 0.1186)
O (0.3584, 0.7538, 0.6186)
O (0.4471, 0.6605, 0.8875)
O (0.4471, 0.8395, 0.3875)
O (0.4497, 0.6364, 0.3906)
O (0.4497, 0.8636, 0.8906)
O (0.5503, 0.1364, 0.1094)
O (0.5503, 0.3636, 0.6094)
O (0.5529, 0.1605, 0.6125)
O (0.5529, 0.3395, 0.1125)
O (0.6416, 0.2462, 0.3814)
O (0.6416, 0.2538, 0.8814)
O (0.7023, 0.6403, 0.2644)
O (0.7023, 0.8597, 0.7644)
O (0.7108, 0.6563, 0.7770)
O (0.7108, 0.8437, 0.2770)
O (0.7803, 0.0636, 0.4858)
O (0.7803, 0.4364, 0.9858)
O (0.7951, 0.7376, 0.5419)
O (0.7951, 0.7624, 0.0419)
O (0.9232, 0.2267, 0.6747)
O (0.9232, 0.2733, 0.1747)
O (0.9321, 0.5545, 0.6493)
O (0.9321, 0.9455, 0.1493)

Entry 2:
Diffraction record for K2Mo3As4O20. The PXRD pattern is theoretical, not measured: it uses a PBE+U-relaxed structure and Cu Kα X-rays.

Top 8 peaks for 10 to 90 degrees two-theta, by intensity:
2theta  d [Å]  I (rel.)
26.90  3.314  100
24.73  3.599  99
14.74  6.010  71
20.87  4.257  69
30.72  2.911  62
33.71  2.659  61
24.05  3.700  60
21.00  4.230  60

Crystal structure
abc: 10.0420 10.0420 12.3304
angles: 110.43 110.43 54.00
Element x y z (fractional)
K (0.1516, 0.6565, 0.8994)
K (0.3435, 0.8484, 0.6006)
K (0.6565, 0.1516, 0.3994)
K (0.8484, 0.3435, 0.1006)
Mo (0.1680, 0.1692, 0.3605)
Mo (0.1692, 0.1680, 0.8605)
Mo (0.4258, 0.5742, 0.2500)
Mo (0.5742, 0.4258, 0.7500)
Mo (0.8308, 0.8320, 0.1395)
Mo (0.8320, 0.8308, 0.6395)
As (0.1603, 0.4788, 0.2694)
As (0.2069, 0.5127, 0.5385)
As (0.4788, 0.1603, 0.7694)
As (0.4873, 0.7931, 0.9615)
As (0.5127, 0.2069, 0.0385)
As (0.5212, 0.8397, 0.2306)
As (0.7931, 0.4873, 0.4615)
As (0.8397, 0.5212, 0.7306)
O (0.0048, 0.5938, 0.1656)
O (0.0447, 0.5983, 0.6088)
O (0.0683, 0.0934, 0.2346)
O (0.0934, 0.0683, 0.7346)
O (0.0945, 0.1742, 0.9696)
O (0.1188, 0.6096, 0.4107)
O (0.1593, 0.3042, 0.2448)
O (0.1742, 0.0945, 0.4696)
O (0.2730, 0.6601, 0.1319)
O (0.2953, 0.3038, 0.4869)
O (0.3042, 0.1593, 0.7448)
O (0.3038, 0.2953, 0.9869)
O (0.3399, 0.7270, 0.3681)
O (0.3430, 0.5734, 0.6256)
O (0.3566, 0.4246, 0.2629)
O (0.3904, 0.8812, 0.0893)
O (0.4017, 0.9553, 0.8912)
O (0.4062, 0.9952, 0.3344)
O (0.4246, 0.3566, 0.7629)
O (0.4266, 0.6570, 0.8744)
O (0.5734, 0.3430, 0.1256)
O (0.5754, 0.6434, 0.2371)
O (0.5938, 0.0048, 0.6656)
O (0.5983, 0.0447, 0.1088)
O (0.6096, 0.1188, 0.9107)
O (0.6434, 0.5754, 0.7371)
O (0.6570, 0.4266, 0.3744)
O (0.6601, 0.2730, 0.6319)
O (0.6962, 0.7047, 0.0131)
O (0.6958, 0.8407, 0.2552)
O (0.7047, 0.6962, 0.5131)
O (0.7270, 0.3399, 0.8681)
O (0.8258, 0.9055, 0.5304)
O (0.8407, 0.6958, 0.7552)
O (0.8812, 0.3904, 0.5893)
O (0.9055, 0.8258, 0.0304)
O (0.9066, 0.9317, 0.2654)
O (0.9317, 0.9066, 0.7654)
O (0.9553, 0.4017, 0.3912)
O (0.9952, 0.4062, 0.8344)

Entry 3:
Diffraction record for K4Ni7As6O24. The PXRD pattern is theoretical, not measured: it uses a PBE+U-relaxed structure and Cu Kα X-rays.

Top 8 peaks for 10 to 90 degrees two-theta, by intensity:
2theta  d [Å]  I (rel.)
13.33  6.642  100
31.88  2.808  93
29.50  3.027  92
30.84  2.899  87
31.48  2.842  47
62.98  1.476  44
36.21  2.481  42
19.87  4.468  36

Crystal structure
abc: 9.2291 9.2291 6.8575
angles: 98.62 98.62 105.87
Element x y z (fractional)
K (0.0000, 0.0000, 0.0000)
K (0.2090, 0.4377, 0.9601)
K (0.4377, 0.2090, 0.9601)
K (0.6347, 0.6347, 0.9466)
Ni (0.3012, 0.9137, 0.3038)
Ni (0.3140, 0.5621, 0.4804)
Ni (0.5621, 0.3140, 0.4804)
Ni (0.5757, 0.9566, 0.6548)
Ni (0.9137, 0.3012, 0.3038)
Ni (0.9379, 0.9379, 0.4818)
Ni (0.9566, 0.5757, 0.6548)
As (0.0358, 0.6557, 0.2078)
As (0.2212, 0.8336, 0.7543)
As (0.2424, 0.2424, 0.5017)
As (0.6310, 0.6310, 0.4502)
As (0.6557, 0.0358, 0.2078)
As (0.8336, 0.2212, 0.7543)
O (0.0258, 0.8140, 0.6763)
O (0.0601, 0.8511, 0.2861)
O (0.1293, 0.1293, 0.6291)
O (0.1526, 0.3442, 0.3558)
O (0.2092, 0.6381, 0.7056)
O (0.2324, 0.6664, 0.2567)
O (0.2726, 0.9287, 0.9984)
O (0.3442, 0.1526, 0.3558)
O (0.3439, 0.9336, 0.6190)
O (0.3906, 0.3906, 0.6657)
O (0.4818, 0.4818, 0.2917)
O (0.5309, 0.7204, 0.5999)
O (0.5322, 0.9414, 0.3454)
O (0.6010, 0.9476, 0.9613)
O (0.6381, 0.2092, 0.7056)
O (0.6664, 0.2324, 0.2567)
O (0.7204, 0.5309, 0.5999)
O (0.7492, 0.7492, 0.3356)
O (0.8140, 0.0258, 0.6763)
O (0.8511, 0.0601, 0.2861)
O (0.9287, 0.2726, 0.9984)
O (0.9336, 0.3439, 0.6190)
O (0.9414, 0.5322, 0.3454)
O (0.9476, 0.6010, 0.9613)

Entry 4:
Diffraction record for KNiAsO4. The PXRD pattern is theoretical, not measured: it uses a PBE+U-relaxed structure and Cu Kα X-rays.

Top 8 peaks for 10 to 90 degrees two-theta, by intensity:
2theta  d [Å]  I (rel.)
35.47  2.531  100
29.69  3.009  98
20.49  4.334  54
32.07  2.791  48
60.30  1.535  37
63.69  1.461  30
46.92  1.937  27
60.17  1.538  25

Crystal structure
abc: 10.0857 10.0857 10.0857
angles: 29.06 29.06 29.06
Element x y z (fractional)
K (0.2110, 0.2110, 0.2110)
K (0.7890, 0.7890, 0.7890)
Ni (0.3348, 0.3348, 0.3348)
Ni (0.6652, 0.6652, 0.6652)
As (0.0604, 0.0604, 0.0604)
As (0.9396, 0.9396, 0.9396)
O (0.0361, 0.3721, 0.7169)
O (0.1191, 0.1191, 0.1191)
O (0.2831, 0.9639, 0.6279)
O (0.3721, 0.7169, 0.0361)
O (0.6279, 0.2831, 0.9639)
O (0.7169, 0.0361, 0.3721)
O (0.8809, 0.8809, 0.8809)
O (0.9639, 0.6279, 0.2831)